This entry pairs a crystal structure of Ca2MnAs2H2O8 with its computed powder diffraction line list. Radiation: Cu Kα X-rays. Structure: a crystal structure in Alexandria, relaxed with GGA+U.
Neutral-atom scattering factors, no anomalous dispersion.

The 6 most intense peaks (2θ = 5–70°), sorted by position:
2θ (°), d [Å], I (rel.), index
17.1, 5.185, 726, 1 1 0
28.1, 3.179, 1000, 0 3 1
28.5, 3.137, 547, 1 3 -1
29.8, 2.999, 518, 2 1 -1
31.4, 2.847, 605, 1 2 1
32.0, 2.800, 482, 1 0 -2

Unit cell a=6.275 b=12.169 c=5.605 alpha=90.00 beta=114.04 gamma=90.00
Sites, in units of the cell vectors:
Ca: 0.072 0.122 0.285
Ca: 0.072 0.378 0.785
Ca: 0.928 0.622 0.215
Ca: 0.928 0.878 0.715
Mn: 0.500 0.000 0.000
Mn: 0.500 0.500 0.500
As: 0.285 0.627 0.930
As: 0.285 0.873 0.430
As: 0.715 0.127 0.570
As: 0.715 0.373 0.070
H: 0.432 0.137 0.984
H: 0.432 0.363 0.484
H: 0.568 0.637 0.516
H: 0.568 0.863 0.016
O: 0.058 0.709 0.910
O: 0.058 0.791 0.410
O: 0.220 0.551 0.646
O: 0.220 0.949 0.146
O: 0.260 0.525 0.144
O: 0.260 0.975 0.644
O: 0.449 0.187 0.452
O: 0.449 0.313 0.952
O: 0.551 0.687 0.048
O: 0.551 0.813 0.548
O: 0.740 0.025 0.356
O: 0.740 0.475 0.856
O: 0.780 0.051 0.854
O: 0.780 0.449 0.354
O: 0.942 0.209 0.590
O: 0.942 0.291 0.090